[1]
# Be2CdTeO6
Calculated X-ray diffraction stick pattern, Cu Kα X-rays. Input: a DFT-relaxed cell (GGA-PBE, Alexandria).

Largest 10 diffraction maxima, sorted by position, 2θ from 10° to 80°:
two_theta	intensity
14.03	24
18.69	26
19.64	100
26.11	33
28.86	53
31.78	21
33.25	41
34.41	25
37.91	21
41.87	39

Atomic structure:
```
data_Be2CdTeO6
_chemical_formula_sum 'Be4 Cd2 Te2 O12'
_cell_length_a 6.565
_cell_length_b 6.565
_cell_length_c 5.797
_cell_angle_alpha 105.85
_cell_angle_beta 105.85
_cell_angle_gamma 84.40
_space_group_name_H-M_alt 'P 1'
_space_group_IT_number 1
loop_
_space_group_symop_operation_xyz
'x,y,z'
loop_
_atom_site_label
_atom_site_type_symbol
_atom_site_fract_x
_atom_site_fract_y
_atom_site_fract_z
_atom_site_occupancy
Be1 Be 0.127 0.273 0.146 1
Be2 Be 0.273 0.127 0.646 1
Be3 Be 0.727 0.873 0.354 1
Be4 Be 0.873 0.727 0.854 1
Cd1 Cd 0.404 0.596 0.750 1
Cd2 Cd 0.596 0.404 0.250 1
Te1 Te 0.214 0.786 0.250 1
Te2 Te 0.786 0.214 0.750 1
O1 O 0.101 0.216 0.817 1
O2 O 0.126 0.703 0.899 1
O3 O 0.216 0.101 0.317 1
O4 O 0.257 0.490 0.295 1
O5 O 0.297 0.874 0.601 1
O6 O 0.490 0.257 0.795 1
O7 O 0.510 0.743 0.205 1
O8 O 0.703 0.126 0.399 1
O9 O 0.743 0.510 0.705 1
O10 O 0.784 0.899 0.683 1
O11 O 0.874 0.297 0.101 1
O12 O 0.899 0.784 0.183 1
```

[2]
# Cr3W4
Calculated X-ray diffraction stick pattern, Cu Kα X-rays. Input: a DFT-relaxed cell (GGA-PBE, Alexandria).

Largest 10 diffraction maxima, sorted by position, 2θ from 10° to 80°:
two_theta	intensity
17.74	16
37.31	89
41.60	51
42.13	100
43.35	15
47.19	23
57.52	18
67.29	16
70.59	43
79.54	17

Atomic structure:
```
data_Cr3W4
_chemical_formula_sum 'Cr3 W4'
_cell_length_a 4.820
_cell_length_b 4.820
_cell_length_c 5.000
_cell_angle_alpha 90.00
_cell_angle_beta 90.00
_cell_angle_gamma 120.00
_space_group_name_H-M_alt 'P 1'
_space_group_IT_number 1
loop_
_space_group_symop_operation_xyz
'x,y,z'
loop_
_atom_site_label
_atom_site_type_symbol
_atom_site_fract_x
_atom_site_fract_y
_atom_site_fract_z
_atom_site_occupancy
Cr1 Cr 0.000 0.500 0.000 1
Cr2 Cr 0.500 0.000 0.000 1
Cr3 Cr 0.500 0.500 0.000 1
W1 W 0.000 0.000 0.251 1
W2 W 0.000 0.000 0.749 1
W3 W 0.333 0.667 0.500 1
W4 W 0.667 0.333 0.500 1
```

[3]
# Rb2NaI7
Calculated X-ray diffraction stick pattern, Cu Kα X-rays. Input: a DFT-relaxed cell (GGA-PBE, Alexandria).

Largest 10 diffraction maxima, sorted by position, 2θ from 10° to 80°:
two_theta	intensity
14.48	16
21.94	19
24.31	100
25.92	37
29.19	64
39.43	47
41.75	23
48.90	28
49.79	27
74.66	14

Atomic structure:
```
data_Rb2NaI7
_chemical_formula_sum 'Rb2 Na1 I7'
_cell_length_a 9.204
_cell_length_b 9.204
_cell_length_c 9.204
_cell_angle_alpha 123.92
_cell_angle_beta 123.92
_cell_angle_gamma 83.33
_space_group_name_H-M_alt 'P 1'
_space_group_IT_number 1
loop_
_space_group_symop_operation_xyz
'x,y,z'
loop_
_atom_site_label
_atom_site_type_symbol
_atom_site_fract_x
_atom_site_fract_y
_atom_site_fract_z
_atom_site_occupancy
Rb1 Rb 0.250 0.750 0.500 1
Rb2 Rb 0.750 0.250 0.500 1
Na1 Na 0.000 0.000 0.000 1
I1 I 0.216 0.216 0.000 1
I2 I 0.261 0.261 0.523 1
I3 I 0.261 0.739 0.000 1
I4 I 0.500 0.500 0.000 1
I5 I 0.739 0.261 0.000 1
I6 I 0.739 0.739 0.477 1
I7 I 0.784 0.784 0.000 1
```

[4]
# Co6Ni3Pt
Calculated X-ray diffraction stick pattern, Cu Kα X-rays. Input: a DFT-relaxed cell (GGA-PBE, Alexandria).

Largest 10 diffraction maxima, sorted by position, 2θ from 10° to 80°:
two_theta	intensity
13.13	74
35.34	28
36.03	33
40.30	32
40.78	78
43.96	100
45.17	73
46.24	54
47.15	49
51.36	38

Atomic structure:
```
data_Co6Ni3Pt
_chemical_formula_sum 'Co12 Ni6 Pt2'
_cell_length_a 9.014
_cell_length_b 10.160
_cell_length_c 2.594
_cell_angle_alpha 90.00
_cell_angle_beta 90.00
_cell_angle_gamma 90.00
_space_group_name_H-M_alt 'P 1'
_space_group_IT_number 1
loop_
_space_group_symop_operation_xyz
'x,y,z'
loop_
_atom_site_label
_atom_site_type_symbol
_atom_site_fract_x
_atom_site_fract_y
_atom_site_fract_z
_atom_site_occupancy
Co1 Co 0.134 0.224 0.000 1
Co2 Co 0.216 0.576 0.000 1
Co3 Co 0.238 0.887 0.000 1
Co4 Co 0.262 0.387 0.500 1
Co5 Co 0.284 0.076 0.500 1
Co6 Co 0.366 0.724 0.500 1
Co7 Co 0.634 0.276 0.500 1
Co8 Co 0.716 0.924 0.500 1
Co9 Co 0.738 0.613 0.500 1
Co10 Co 0.762 0.113 0.000 1
Co11 Co 0.784 0.424 0.000 1
Co12 Co 0.866 0.776 0.000 1
Ni1 Ni 0.000 0.500 0.500 1
Ni2 Ni 0.083 0.740 0.500 1
Ni3 Ni 0.417 0.240 0.000 1
Ni4 Ni 0.500 0.000 0.000 1
Ni5 Ni 0.583 0.760 0.000 1
Ni6 Ni 0.917 0.260 0.500 1
Pt1 Pt 0.000 0.000 0.500 1
Pt2 Pt 0.500 0.500 0.000 1
```

[5]
# Na2Mn2Te3
Calculated X-ray diffraction stick pattern, Cu Kα X-rays. Input: a DFT-relaxed cell (GGA-PBE, Alexandria).

Largest 10 diffraction maxima, sorted by position, 2θ from 10° to 80°:
two_theta	intensity
21.08	52
22.58	47
24.13	52
24.31	100
25.67	37
32.12	29
38.76	66
42.55	41
46.13	26
46.27	25

Atomic structure:
```
data_Na2Mn2Te3
_chemical_formula_sum 'Na8 Mn8 Te12'
_cell_length_a 11.214
_cell_length_b 11.214
_cell_length_c 7.877
_cell_angle_alpha 110.44
_cell_angle_beta 110.44
_cell_angle_gamma 83.70
_space_group_name_H-M_alt 'P 1'
_space_group_IT_number 1
loop_
_space_group_symop_operation_xyz
'x,y,z'
loop_
_atom_site_label
_atom_site_type_symbol
_atom_site_fract_x
_atom_site_fract_y
_atom_site_fract_z
_atom_site_occupancy
Na1 Na 0.066 0.934 0.750 1
Na2 Na 0.220 0.780 0.250 1
Na3 Na 0.302 0.468 0.333 1
Na4 Na 0.468 0.302 0.833 1
Na5 Na 0.532 0.698 0.167 1
Na6 Na 0.698 0.532 0.667 1
Na7 Na 0.780 0.220 0.750 1
Na8 Na 0.934 0.066 0.250 1
Mn1 Mn 0.050 0.578 0.735 1
Mn2 Mn 0.134 0.292 0.796 1
Mn3 Mn 0.292 0.134 0.296 1
Mn4 Mn 0.422 0.950 0.765 1
Mn5 Mn 0.578 0.050 0.235 1
Mn6 Mn 0.708 0.866 0.704 1
Mn7 Mn 0.866 0.708 0.204 1
Mn8 Mn 0.950 0.422 0.265 1
Te1 Te 0.075 0.225 0.068 1
Te2 Te 0.089 0.650 0.455 1
Te3 Te 0.225 0.075 0.568 1
Te4 Te 0.277 0.508 0.947 1
Te5 Te 0.350 0.911 0.045 1
Te6 Te 0.492 0.723 0.553 1
Te7 Te 0.508 0.277 0.447 1
Te8 Te 0.650 0.089 0.955 1
Te9 Te 0.723 0.492 0.053 1
Te10 Te 0.775 0.925 0.432 1
Te11 Te 0.911 0.350 0.545 1
Te12 Te 0.925 0.775 0.932 1
```

[6]
# La11Ni4Ag9
Calculated X-ray diffraction stick pattern, Cu Kα X-rays. Input: a DFT-relaxed cell (GGA-PBE, Alexandria).

Largest 10 diffraction maxima, sorted by position, 2θ from 10° to 80°:
two_theta	intensity
30.06	19
31.80	20
32.26	21
33.94	100
34.10	95
34.62	80
36.29	24
37.52	36
47.98	31
60.50	32

Atomic structure:
```
data_La11Ni4Ag9
_chemical_formula_sum 'La11 Ni4 Ag9'
_cell_length_a 13.190
_cell_length_b 13.190
_cell_length_c 3.793
_cell_angle_alpha 90.00
_cell_angle_beta 90.00
_cell_angle_gamma 112.16
_space_group_name_H-M_alt 'P 1'
_space_group_IT_number 1
loop_
_space_group_symop_operation_xyz
'x,y,z'
loop_
_atom_site_label
_atom_site_type_symbol
_atom_site_fract_x
_atom_site_fract_y
_atom_site_fract_z
_atom_site_occupancy
La1 La 0.000 0.000 0.000 1
La2 La 0.080 0.415 0.000 1
La3 La 0.167 0.833 0.000 1
La4 La 0.306 0.306 0.000 1
La5 La 0.371 0.629 0.000 1
La6 La 0.415 0.080 0.000 1
La7 La 0.585 0.920 0.000 1
La8 La 0.629 0.371 0.000 1
La9 La 0.694 0.694 0.000 1
La10 La 0.833 0.167 0.000 1
La11 La 0.920 0.585 0.000 1
Ni1 Ni 0.251 0.450 0.500 1
Ni2 Ni 0.450 0.251 0.500 1
Ni3 Ni 0.550 0.749 0.500 1
Ni4 Ni 0.749 0.550 0.500 1
Ag1 Ag 0.073 0.215 0.500 1
Ag2 Ag 0.161 0.631 0.500 1
Ag3 Ag 0.215 0.073 0.500 1
Ag4 Ag 0.369 0.839 0.500 1
Ag5 Ag 0.500 0.500 0.500 1
Ag6 Ag 0.631 0.161 0.500 1
Ag7 Ag 0.785 0.927 0.500 1
Ag8 Ag 0.839 0.369 0.500 1
Ag9 Ag 0.927 0.785 0.500 1
```

[7]
# CeSbSe2
Calculated X-ray diffraction stick pattern, Cu Kα X-rays. Input: a DFT-relaxed cell (GGA-PBE, Alexandria).

Largest 10 diffraction maxima, sorted by position, 2θ from 10° to 80°:
two_theta	intensity
19.80	16
25.65	100
29.89	28
36.58	53
41.94	50
43.61	47
60.81	16
62.09	20
75.45	20
78.92	29

Atomic structure:
```
data_CeSbSe2
_chemical_formula_sum 'Ce1 Sb1 Se2'
_cell_length_a 9.285
_cell_length_b 9.285
_cell_length_c 9.285
_cell_angle_alpha 25.84
_cell_angle_beta 25.84
_cell_angle_gamma 25.84
_space_group_name_H-M_alt 'P 1'
_space_group_IT_number 1
loop_
_space_group_symop_operation_xyz
'x,y,z'
loop_
_atom_site_label
_atom_site_type_symbol
_atom_site_fract_x
_atom_site_fract_y
_atom_site_fract_z
_atom_site_occupancy
Ce1 Ce 0.000 0.000 0.000 1
Sb1 Sb 0.500 0.500 0.500 1
Se1 Se 0.395 0.395 0.395 1
Se2 Se 0.605 0.605 0.605 1
```

[8]
# Sm2Ni3B6
Calculated X-ray diffraction stick pattern, Cu Kα X-rays. Input: a DFT-relaxed cell (GGA-PBE, Alexandria).

Largest 10 diffraction maxima, sorted by position, 2θ from 10° to 80°:
two_theta	intensity
22.67	19
25.16	34
30.65	49
32.57	19
32.83	14
40.05	100
41.38	18
46.30	17
51.65	14
61.26	13

Atomic structure:
```
data_Sm2Ni3B6
_chemical_formula_sum 'Sm2 Ni3 B6'
_cell_length_a 5.868
_cell_length_b 5.868
_cell_length_c 3.539
_cell_angle_alpha 90.00
_cell_angle_beta 90.00
_cell_angle_gamma 96.11
_space_group_name_H-M_alt 'P 1'
_space_group_IT_number 1
loop_
_space_group_symop_operation_xyz
'x,y,z'
loop_
_atom_site_label
_atom_site_type_symbol
_atom_site_fract_x
_atom_site_fract_y
_atom_site_fract_z
_atom_site_occupancy
Sm1 Sm 0.226 0.774 0.000 1
Sm2 Sm 0.774 0.226 0.000 1
Ni1 Ni 0.272 0.272 0.000 1
Ni2 Ni 0.500 0.500 0.500 1
Ni3 Ni 0.728 0.728 0.000 1
B1 B 0.114 0.114 0.500 1
B2 B 0.114 0.412 0.500 1
B3 B 0.412 0.114 0.500 1
B4 B 0.588 0.886 0.500 1
B5 B 0.886 0.588 0.500 1
B6 B 0.886 0.886 0.500 1
```

Copy entry 1 word for word.
# Be2CdTeO6
Calculated X-ray diffraction stick pattern, Cu Kα X-rays. Input: a DFT-relaxed cell (GGA-PBE, Alexandria).

Largest 10 diffraction maxima, sorted by position, 2θ from 10° to 80°:
two_theta	intensity
14.03	24
18.69	26
19.64	100
26.11	33
28.86	53
31.78	21
33.25	41
34.41	25
37.91	21
41.87	39

Atomic structure:
```
data_Be2CdTeO6
_chemical_formula_sum 'Be4 Cd2 Te2 O12'
_cell_length_a 6.565
_cell_length_b 6.565
_cell_length_c 5.797
_cell_angle_alpha 105.85
_cell_angle_beta 105.85
_cell_angle_gamma 84.40
_space_group_name_H-M_alt 'P 1'
_space_group_IT_number 1
loop_
_space_group_symop_operation_xyz
'x,y,z'
loop_
_atom_site_label
_atom_site_type_symbol
_atom_site_fract_x
_atom_site_fract_y
_atom_site_fract_z
_atom_site_occupancy
Be1 Be 0.127 0.273 0.146 1
Be2 Be 0.273 0.127 0.646 1
Be3 Be 0.727 0.873 0.354 1
Be4 Be 0.873 0.727 0.854 1
Cd1 Cd 0.404 0.596 0.750 1
Cd2 Cd 0.596 0.404 0.250 1
Te1 Te 0.214 0.786 0.250 1
Te2 Te 0.786 0.214 0.750 1
O1 O 0.101 0.216 0.817 1
O2 O 0.126 0.703 0.899 1
O3 O 0.216 0.101 0.317 1
O4 O 0.257 0.490 0.295 1
O5 O 0.297 0.874 0.601 1
O6 O 0.490 0.257 0.795 1
O7 O 0.510 0.743 0.205 1
O8 O 0.703 0.126 0.399 1
O9 O 0.743 0.510 0.705 1
O10 O 0.784 0.899 0.683 1
O11 O 0.874 0.297 0.101 1
O12 O 0.899 0.784 0.183 1
```